Entry 1:
Starting from DFT lattice parameters and positions (GGA-PBE), the powder X-ray diffraction pattern of TbGd2Sn5Pb2 was simulated for Cu Kα (weighted mean of Kα1 and Kα2).

The 6 most intense peaks (5° ≤ 2θ ≤ 70°), by intensity:
2θ/deg, intensity
32.52, 100
39.06, 32
66.66, 26
53.39, 22
34.93, 18
61.12, 12

Crystal structure
Cell lengths 13.050, 13.050, 4.611 Å; angles 90.00, 90.00, 159.64 degrees
Fractional coordinates of all 10 atoms:
Tb 0.000 0.000 0.000
Gd 0.189 0.811 0.000
Gd 0.811 0.189 0.000
Sn 0.097 0.903 0.500
Sn 0.291 0.709 0.500
Sn 0.500 0.500 0.500
Sn 0.709 0.291 0.500
Sn 0.903 0.097 0.500
Pb 0.403 0.597 0.000
Pb 0.597 0.403 0.000


Entry 2:
Starting from DFT lattice parameters and positions (GGA-PBE), the powder X-ray diffraction pattern of Tb2GdSn5Pb2 was simulated for Cu Kα (weighted mean of Kα1 and Kα2).

The 6 most intense peaks (5° ≤ 2θ ≤ 70°), by intensity:
2θ/deg, intensity
32.57, 100
34.87, 18
38.54, 17
39.78, 15
65.98, 14
67.68, 13

Crystal structure
Cell lengths 13.062, 13.062, 4.672 Å; angles 90.00, 90.00, 160.02 degrees
Fractional coordinates of all 10 atoms:
Tb 0.189 0.811 0.000
Tb 0.811 0.189 0.000
Gd 0.000 0.000 0.000
Sn 0.291 0.709 0.500
Sn 0.404 0.596 0.000
Sn 0.500 0.500 0.500
Sn 0.596 0.404 0.000
Sn 0.709 0.291 0.500
Pb 0.098 0.902 0.500
Pb 0.902 0.098 0.500